(1)
The following is a calculated powder XRD pattern of Na2Hf2SnSe6. It was derived from DFT lattice parameters and positions (GGA-PBE), using Cu Kα (weighted mean of Kα1 and Kα2).
Intensities are scaled so that the largest is 100.

Cell and atoms:
a = 6.9853 Å, b = 6.9853 Å, c = 7.3516 Å
α = 98.50°, β = 98.50°, γ = 120.77°
Sites, in units of the cell vectors:
Na 0.1570 0.8430 0.0000
Na 0.8430 0.1570 0.0000
Hf 0.3334 0.6666 0.5000
Hf 0.6666 0.3334 0.5000
Sn 0.0000 0.0000 0.5000
Se 0.0668 0.4303 0.7187
Se 0.2960 0.2960 0.2785
Se 0.4303 0.0668 0.7187
Se 0.5697 0.9332 0.2813
Se 0.7040 0.7040 0.7215
Se 0.9332 0.5697 0.2813

The 10 most intense peaks (10° ≤ 2θ ≤ 90°), in order of rising 2θ:
| 2θ (°) | I/Imax |
| --- | --- |
| 12.62 | 100 |
| 25.83 | 20 |
| 30.62 | 88 |
| 31.20 | 43 |
| 39.40 | 20 |
| 42.92 | 16 |
| 43.21 | 32 |
| 44.77 | 15 |
| 45.34 | 29 |
| 55.58 | 15 |

***

(2)
The following is a calculated powder XRD pattern of Na3Hf3ZrSe8. It was derived from DFT lattice parameters and positions (GGA-PBE), using Cu Kα (weighted mean of Kα1 and Kα2).
Intensities are scaled so that the largest is 100.

Cell and atoms:
a = 7.5710 Å, b = 7.5710 Å, c = 8.4570 Å
α = 116.49°, β = 116.49°, γ = 60.07°
Sites, in units of the cell vectors:
Na 0.0000 0.0000 0.0000
Na 0.0000 0.5000 0.0000
Na 0.5000 0.0000 0.0000
Hf 0.0000 0.5000 0.5000
Hf 0.5000 0.0000 0.5000
Hf 0.5000 0.5000 0.5000
Zr 0.0000 0.0000 0.5000
Se 0.2442 0.2442 0.7229
Se 0.2442 0.7346 0.7230
Se 0.2591 0.2591 0.2773
Se 0.2654 0.7558 0.2770
Se 0.7346 0.2442 0.7230
Se 0.7409 0.7409 0.7227
Se 0.7558 0.2654 0.2770
Se 0.7558 0.7558 0.2771

The 10 most intense peaks (10° ≤ 2θ ≤ 90°), in order of rising 2θ:
| 2θ (°) | I/Imax |
| --- | --- |
| 12.21 | 79 |
| 27.51 | 22 |
| 31.87 | 100 |
| 39.98 | 20 |
| 43.23 | 40 |
| 48.05 | 32 |
| 49.77 | 15 |
| 58.79 | 11 |
| 66.61 | 11 |
| 79.27 | 14 |